(1)
Starting from a DFT-relaxed cell (GGA-PBE, Alexandria), the X-ray diffraction stick pattern of BaEu2Ho was simulated for Cu Kα X-rays.
Lines closer than 0.1° are merged.

Top 8 peaks for 10 to 90 degrees two-theta, low angle first:
27.9 deg, d = 3.195 Å, I = 100; 30.3 deg, d = 2.948 Å, I = 47; 34.6 deg, d = 2.595 Å, I = 11; 43.4 deg, d = 2.084 Å, I = 18; 47.9 deg, d = 1.900 Å, I = 14; 52.4 deg, d = 1.746 Å, I = 35; 57.7 deg, d = 1.597 Å, I = 8; 86.4 deg, d = 1.126 Å, I = 9

Crystal structure
a b c (Å): 4.169 4.169 9.944
angles (deg): 90.00 90.00 90.00
Fractional coordinates of all 4 atoms:
Ba1 0.000 0.000 0.000
Eu1 0.500 0.500 0.292
Eu2 0.500 0.500 0.708
Ho1 0.000 0.000 0.500

=====

(2)
Starting from a DFT-relaxed cell (GGA-PBE, Alexandria), the X-ray diffraction stick pattern of PN was simulated for Cu Kα X-rays.
Lines closer than 0.1° are merged.

Top 8 peaks for 10 to 90 degrees two-theta, low angle first:
12.5 deg, d = 7.084 Å, I = 100; 25.1 deg, d = 3.542 Å, I = 23; 28.2 deg, d = 3.168 Å, I = 33; 39.0 deg, d = 2.310 Å, I = 15; 40.3 deg, d = 2.240 Å, I = 8; 43.1 deg, d = 2.098 Å, I = 12; 57.3 deg, d = 1.608 Å, I = 10; 66.5 deg, d = 1.405 Å, I = 8

Crystal structure
a b c (Å): 7.211 7.211 7.211
angles (deg): 92.00 92.00 158.45
Fractional coordinates of all 8 atoms:
P1 0.045 0.697 0.742
P2 0.303 0.045 0.348
P3 0.697 0.955 0.652
P4 0.955 0.303 0.258
N1 0.118 0.382 0.500
N2 0.382 0.882 0.264
N3 0.618 0.118 0.736
N4 0.882 0.618 0.500

=====

(3)
Starting from a DFT-relaxed cell (GGA-PBE, Alexandria), the X-ray diffraction stick pattern of Tm5BTe4 was simulated for Cu Kα X-rays.
Lines closer than 0.1° are merged.

Top 8 peaks for 10 to 90 degrees two-theta, low angle first:
25.9 deg, d = 3.446 Å, I = 21; 29.9 deg, d = 2.992 Å, I = 100; 30.1 deg, d = 2.969 Å, I = 56; 32.1 deg, d = 2.786 Å, I = 19; 37.5 deg, d = 2.400 Å, I = 28; 42.7 deg, d = 2.116 Å, I = 26; 42.9 deg, d = 2.108 Å, I = 74; 53.2 deg, d = 1.723 Å, I = 27

Crystal structure
a b c (Å): 7.320 7.320 7.320
angles (deg): 99.47 99.47 132.14
Fractional coordinates of all 10 atoms:
Tm1 0.000 0.000 0.000
Tm2 0.279 0.619 0.843
Tm3 0.436 0.279 0.660
Tm4 0.619 0.777 0.340
Tm5 0.777 0.436 0.157
B1 0.544 0.544 0.000
Te1 0.114 0.337 0.396
Te2 0.337 0.941 0.223
Te3 0.718 0.114 0.777
Te4 0.941 0.718 0.604

=====

(4)
Starting from a DFT-relaxed cell (GGA-PBE, Alexandria), the X-ray diffraction stick pattern of Nd2Al5Ag4 was simulated for Cu Kα X-rays.
Lines closer than 0.1° are merged.

Top 8 peaks for 10 to 90 degrees two-theta, low angle first:
20.4 deg, d = 4.362 Å, I = 100; 32.4 deg, d = 2.762 Å, I = 40; 32.9 deg, d = 2.726 Å, I = 89; 36.0 deg, d = 2.493 Å, I = 78; 38.6 deg, d = 2.333 Å, I = 74; 41.4 deg, d = 2.181 Å, I = 30; 41.7 deg, d = 2.165 Å, I = 55; 58.1 deg, d = 1.587 Å, I = 31

Crystal structure
a b c (Å): 9.947 9.150 5.519
angles (deg): 81.31 65.42 33.26
Fractional coordinates of all 11 atoms:
Nd1 0.112 0.112 0.888
Nd2 0.888 0.888 0.112
Al1 0.000 0.000 0.500
Al2 0.250 0.250 0.250
Al3 0.500 0.500 0.000
Al4 0.500 0.500 0.500
Al5 0.750 0.750 0.750
Ag1 0.206 0.532 0.468
Ag2 0.468 0.794 0.206
Ag3 0.532 0.206 0.794
Ag4 0.794 0.468 0.532

=====

(5)
Starting from a DFT-relaxed cell (GGA-PBE, Alexandria), the X-ray diffraction stick pattern of PuAg4Se4 was simulated for Cu Kα X-rays.
Lines closer than 0.1° are merged.

Top 8 peaks for 10 to 90 degrees two-theta, low angle first:
15.6 deg, d = 5.695 Å, I = 52; 24.4 deg, d = 3.644 Å, I = 61; 26.0 deg, d = 3.423 Å, I = 31; 27.7 deg, d = 3.226 Å, I = 20; 38.3 deg, d = 2.348 Å, I = 25; 39.5 deg, d = 2.281 Å, I = 58; 40.9 deg, d = 2.208 Å, I = 100; 72.6 deg, d = 1.302 Å, I = 35

Crystal structure
a b c (Å): 7.584 7.584 7.584
angles (deg): 129.66 129.66 73.95
Fractional coordinates of all 9 atoms:
Pu1 0.000 0.000 0.000
Ag1 0.000 0.500 0.500
Ag2 0.268 0.268 0.000
Ag3 0.500 0.000 0.500
Ag4 0.732 0.732 0.000
Se1 0.120 0.630 0.000
Se2 0.370 0.370 0.490
Se3 0.630 0.120 0.000
Se4 0.880 0.880 0.510

=====

(6)
Starting from a DFT-relaxed cell (GGA-PBE, Alexandria), the X-ray diffraction stick pattern of CeYPaSn was simulated for Cu Kα X-rays.
Lines closer than 0.1° are merged.

Top 8 peaks for 10 to 90 degrees two-theta, low angle first:
20.3 deg, d = 4.366 Å, I = 9; 23.5 deg, d = 3.781 Å, I = 5; 33.5 deg, d = 2.674 Å, I = 100; 39.5 deg, d = 2.280 Å, I = 5; 48.1 deg, d = 1.891 Å, I = 18; 59.9 deg, d = 1.544 Å, I = 38; 70.4 deg, d = 1.337 Å, I = 12; 80.3 deg, d = 1.196 Å, I = 17

Crystal structure
a b c (Å): 5.347 5.347 5.347
angles (deg): 60.00 60.00 60.00
Fractional coordinates of all 4 atoms:
Ce1 0.000 0.000 0.000
Y1 0.500 0.500 0.500
Pa1 0.750 0.750 0.750
Sn1 0.250 0.250 0.250